[1]
# Ac2ErRh3O12
Calculated powder diffraction line list, CuKα. Input: a structure optimized by DFT (GGA-PBE).
No peak broadening, texture or thermal motion is included.

Crystal structure
```
data_Ac2ErRh3O12
_cell_length_a 7.1741
_cell_length_b 7.1741
_cell_length_c 16.0311
_cell_angle_alpha 90.00
_cell_angle_beta 90.00
_cell_angle_gamma 120.00
_space_group_name_H-M_alt 'R -3 m'
_space_group_IT_number 166
_space_group_name_Hall '-R 3 2"'
loop_
_atom_site_label
_atom_site_fract_x
_atom_site_fract_y
_atom_site_fract_z
Ac1 0.0000 0.0000 0.1138
Er1 0.0000 0.0000 0.5000
Rh1 0.0000 0.5000 0.0000
O1 0.0473 0.5236 0.8797
O2 0.0575 0.5288 0.3043
```

The 12 most intense peaks (2θ from 15° to 90°), in order of rising 2θ:
- 24.82°, I = 59, hkl 1 1 0
- 26.47°, I = 33, hkl 1 0 4
- 29.28°, I = 55, hkl 0 2 1
- 30.00°, I = 100, hkl 1 1 3
- 30.87°, I = 40, hkl 2 0 2
- 31.40°, I = 60, hkl 0 1 5
- 47.06°, I = 30, hkl 0 3 3
- 48.02°, I = 43, hkl 1 2 5
- 50.91°, I = 48, hkl 2 2 0
- 54.49°, I = 27, hkl 2 0 8
- 61.05°, I = 22, hkl 3 1 5
- 71.84°, I = 17, hkl 4 1 3

[2]
# Ac2ErRhO6
Calculated powder diffraction line list, CuKα. Input: a structure optimized by DFT (GGA-PBE).
No peak broadening, texture or thermal motion is included.

Crystal structure
```
data_Ac2ErRhO6
_cell_length_a 5.8010
_cell_length_b 8.3327
_cell_length_c 6.0503
_cell_angle_alpha 90.00
_cell_angle_beta 90.00
_cell_angle_gamma 90.00
_space_group_name_H-M_alt 'P m m n'
_space_group_IT_number 59
loop_
_space_group_symop_operation_xyz
'x,y,z'
'-x,-y,-z'
'-x+1/2,-y+1/2,z'
'x+1/2,y+1/2,-z'
'x+1/2,-y,-z'
'-x+1/2,y,z'
'-x,y+1/2,-z'
'x,-y+1/2,z'
loop_
_atom_site_label
_atom_site_fract_x
_atom_site_fract_y
_atom_site_fract_z
Ac1 0.2500 0.0192 0.2161
Er1 0.2500 0.2500 0.7220
Rh1 0.2500 0.7500 0.7714
O1 0.9999 0.2500 0.9934
O2 0.0052 0.2500 0.4584
O3 0.2500 0.5060 0.7851
```

The 12 most intense peaks (2θ from 15° to 90°), in order of rising 2θ:
- 29.53°, I = 24, hkl 0 0 2
- 30.26°, I = 100, hkl 1 2 1
- 30.83°, I = 26, hkl 2 0 0
- 43.21°, I = 25, hkl 2 0 2
- 43.44°, I = 13, hkl 0 4 0
- 52.85°, I = 16, hkl 1 2 3
- 53.40°, I = 8, hkl 0 4 2
- 54.21°, I = 9, hkl 2 4 0
- 54.47°, I = 20, hkl 3 2 1
- 62.94°, I = 14, hkl 2 4 2
- 71.25°, I = 7, hkl 3 2 3
- 71.58°, I = 7, hkl 1 6 1

[3]
# AcErSbO2
Calculated powder diffraction line list, CuKα. Input: a structure optimized by DFT (GGA-PBE).
No peak broadening, texture or thermal motion is included.

Crystal structure
```
data_AcErSbO2
_cell_length_a 3.9937
_cell_length_b 3.9937
_cell_length_c 13.9698
_cell_angle_alpha 90.00
_cell_angle_beta 90.00
_cell_angle_gamma 90.00
_space_group_name_H-M_alt 'I 4 m m'
_space_group_IT_number 107
_space_group_name_Hall 'I 4 -2'
loop_
_atom_site_label
_atom_site_fract_x
_atom_site_fract_y
_atom_site_fract_z
Ac1 0.0000 0.0000 0.0000
Er1 0.0000 0.0000 0.3270
Sb1 0.0000 0.0000 0.6701
O1 0.0000 0.5000 0.3999
```

The 12 most intense peaks (2θ from 15° to 90°), in order of rising 2θ:
- 29.46°, I = 100, hkl 1 0 3
- 31.68°, I = 36, hkl 1 1 0
- 38.67°, I = 11, hkl 0 0 6
- 45.42°, I = 17, hkl 2 0 0
- 50.83°, I = 24, hkl 1 1 6
- 55.07°, I = 35, hkl 2 1 3
- 61.14°, I = 12, hkl 2 0 6
- 64.40°, I = 11, hkl 1 0 9
- 74.07°, I = 7, hkl 3 0 3
- 75.24°, I = 6, hkl 3 1 0
- 82.30°, I = 11, hkl 2 1 9
- 87.96°, I = 10, hkl 3 1 6

[4]
# Ac2ErTaO8
Calculated powder diffraction line list, CuKα. Input: a structure optimized by DFT (GGA-PBE).
No peak broadening, texture or thermal motion is included.

Crystal structure
```
data_Ac2ErTaO8
_cell_length_a 4.5014
_cell_length_b 7.1673
_cell_length_c 5.6002
_cell_angle_alpha 90.00
_cell_angle_beta 93.71
_cell_angle_gamma 90.00
_space_group_name_H-M_alt 'P 1 2/m 1'
_space_group_IT_number 10
loop_
_space_group_symop_operation_xyz
'x,y,z'
'-x,-y,-z'
'-x,y,-z'
'x,-y,z'
loop_
_atom_site_label
_atom_site_fract_x
_atom_site_fract_y
_atom_site_fract_z
Ac1 0.0000 0.2470 0.0000
Er1 0.5000 0.5000 0.5000
Ta1 0.5000 0.0000 0.5000
O1 0.0635 0.0000 0.3814
O2 0.0781 0.5000 0.2588
O3 0.4559 0.2094 0.7325
```

The 12 most intense peaks (2θ from 15° to 90°), in order of rising 2θ:
- 24.61°, I = 73, hkl 1 0 -1
- 26.25°, I = 60, hkl 1 0 1
- 29.61°, I = 100, hkl 0 2 1
- 31.98°, I = 86, hkl 0 0 2
- 40.15°, I = 27, hkl 2 0 0
- 44.88°, I = 39, hkl 1 2 -2
- 46.84°, I = 32, hkl 1 2 2
- 49.76°, I = 23, hkl 2 2 -1
- 51.57°, I = 22, hkl 2 2 1
- 55.60°, I = 16, hkl 0 2 3
- 57.39°, I = 15, hkl 1 4 -1
- 58.22°, I = 13, hkl 1 4 1

[5]
# AcErP2Pd2
Calculated powder diffraction line list, CuKα. Input: a structure optimized by DFT (GGA-PBE).
No peak broadening, texture or thermal motion is included.

Crystal structure
```
data_AcErP2Pd2
_cell_length_a 4.2704
_cell_length_b 4.2704
_cell_length_c 7.8148
_cell_angle_alpha 90.00
_cell_angle_beta 90.00
_cell_angle_gamma 120.00
_space_group_name_H-M_alt 'P -3 m 1'
_space_group_IT_number 164
_space_group_name_Hall '-P 3 2"'
loop_
_atom_site_label
_atom_site_fract_x
_atom_site_fract_y
_atom_site_fract_z
Ac1 0.0000 0.0000 0.0000
Er1 0.0000 0.0000 0.5000
P1 0.3333 0.6667 0.2716
Pd1 0.3333 0.6667 0.7228
```

The 12 most intense peaks (2θ from 15° to 90°), in order of rising 2θ:
- 24.06°, I = 25, hkl 1 0 0
- 26.67°, I = 15, hkl 1 0 1
- 33.36°, I = 100, hkl 0 1 2
- 42.33°, I = 42, hkl 1 1 0
- 46.48°, I = 9, hkl 0 0 4
- 53.01°, I = 9, hkl 1 0 4
- 54.93°, I = 24, hkl 2 0 2
- 64.67°, I = 22, hkl 1 1 4
- 71.71°, I = 22, hkl 1 2 2
- 77.43°, I = 8, hkl 3 0 0
- 77.74°, I = 8, hkl 0 1 6
- 85.40°, I = 5, hkl 2 1 4

[6]
# AcEr2Pb2
Calculated powder diffraction line list, CuKα. Input: a structure optimized by DFT (GGA-PBE).
No peak broadening, texture or thermal motion is included.

Crystal structure
```
data_AcEr2Pb2
_cell_length_a 5.3490
_cell_length_b 5.3490
_cell_length_c 19.4153
_cell_angle_alpha 90.00
_cell_angle_beta 90.00
_cell_angle_gamma 120.00
_space_group_name_H-M_alt 'R -3 m'
_space_group_IT_number 166
_space_group_name_Hall '-R 3 2"'
loop_
_atom_site_label
_atom_site_fract_x
_atom_site_fract_y
_atom_site_fract_z
Ac1 0.0000 0.0000 0.0000
Er1 0.0000 0.0000 0.2041
Pb1 0.0000 0.0000 0.4157
```

The 12 most intense peaks (2θ from 15° to 90°), in order of rising 2θ:
- 30.03°, I = 100, hkl 0 1 5
- 33.51°, I = 84, hkl 1 1 0
- 45.61°, I = 32, hkl 2 0 5
- 51.00°, I = 17, hkl 1 0 10
- 54.66°, I = 6, hkl 1 1 9
- 57.76°, I = 33, hkl 1 2 5
- 59.90°, I = 16, hkl 3 0 0
- 62.41°, I = 9, hkl 0 2 10
- 70.41°, I = 10, hkl 2 2 0
- 72.73°, I = 12, hkl 2 1 10
- 78.40°, I = 14, hkl 3 1 5
- 88.01°, I = 6, hkl 0 4 5